No. 1
Al2W2O7: computed PXRD pattern (Cu Kα), based on a cell relaxed with GGA+U.
Neutral-atom scattering factors, no anomalous dispersion.

Structure:
Lattice parameters (Å, degrees): 6.1632 6.9100 7.2116 69.62 72.35 67.21
Space group P1 (No. 1)
Symmetry-distinct sites (fractional):
1 Al 0.0000 0.0000 0.0000 (multiplicity 1)
2 Al 0.0750 0.9733 0.4963 (multiplicity 1)
3 Al 0.1858 0.3309 0.8793 (multiplicity 1)
4 Al 0.6311 0.9800 0.8720 (multiplicity 1)
5 W 0.1650 0.4902 0.3186 (multiplicity 1)
6 W 0.5313 0.4438 0.4828 (multiplicity 1)
7 W 0.5700 0.5068 0.9081 (multiplicity 1)
8 W 0.6398 0.8966 0.4152 (multiplicity 1)
9 O 0.0263 0.8425 0.3037 (multiplicity 1)
10 O 0.1838 0.4384 0.6158 (multiplicity 1)
11 O 0.2182 0.5022 0.0107 (multiplicity 1)
12 O 0.2613 0.1584 0.3811 (multiplicity 1)
13 O 0.2950 0.0372 0.9439 (multiplicity 1)
14 O 0.3685 0.7544 0.5218 (multiplicity 1)
15 O 0.4825 0.5676 0.1887 (multiplicity 1)
16 O 0.5436 0.2893 0.7821 (multiplicity 1)
17 O 0.6487 0.7773 0.7497 (multiplicity 1)
18 O 0.7011 0.9581 0.1041 (multiplicity 1)
19 O 0.7377 0.1399 0.4506 (multiplicity 1)
20 O 0.8089 0.5606 0.4166 (multiplicity 1)
21 O 0.8857 0.3010 0.9739 (multiplicity 1)
22 O 0.9630 0.9609 0.7670 (multiplicity 1)

The 10 most intense peaks (10° ≤ 2θ ≤ 80°), in order of rising 2θ:
2θ/deg  I (rel.)  h k l
13.35  778  0 0 1
14.41  922  0 1 0
15.90  882  1 0 0
17.64  583  1 1 1
26.89  1000  0 0 2
29.05  990  0 2 0
32.12  577  2 0 0
35.72  442  2 2 2
36.01  511  2 2 0
37.93  481  2 0 2

=====

No. 2
Cr2Hg2H2O9: computed PXRD pattern (Cu Kα), based on a cell relaxed with GGA+U.
Neutral-atom scattering factors, no anomalous dispersion.

Structure:
Lattice parameters (Å, degrees): 12.0278 5.3492 13.9036 90.00 108.29 90.00
Space group C2/c (No. 15)
Symmetry-distinct sites (fractional):
1 Cr 0.1504 0.1952 0.0987 (multiplicity 8)
2 Hg 0.1208 0.2916 0.3775 (multiplicity 8)
3 H 0.0379 0.2278 0.7145 (multiplicity 8)
4 O 0.0000 0.3418 0.7500 (multiplicity 4)
5 O 0.0484 0.1438 0.1623 (multiplicity 8)
6 O 0.0880 0.3247 0.9898 (multiplicity 8)
7 O 0.2057 0.0893 0.5770 (multiplicity 8)
8 O 0.2464 0.1240 0.8343 (multiplicity 8)

The 10 most intense peaks (10° ≤ 2θ ≤ 80°), in order of rising 2θ:
2θ/deg  I (rel.)  h k l
17.05  482  2 0 -2
18.65  1000  1 1 -1
27.02  444  0 0 4
29.18  529  1 1 3
30.73  634  3 1 -3
31.29  600  4 0 0
33.51  225  0 2 0
36.53  265  1 1 -5
43.56  159  0 2 4
49.75  171  3 1 -7